No. 1
# Sr2Li3Al12Rh
Theoretical XRD peak list, CuKα. Input: a structure optimized by DFT (GGA-PBE).

abc: 6.5900 6.5900 29.5278
angles: 90.00 90.00 120.00
Space group R-3m (No. 166, hexagonal axes)
Unique sites:
Sr1 0.0000 0.0000 0.1446 x6
Li1 0.0000 0.5000 0.0000 x9
Al1 0.0423 0.5211 0.1006 x18
Al2 0.0643 0.5322 0.6194 x18
Rh1 0.0000 0.0000 0.5000 x3

Principal peaks in the range 2θ = 5–70°, in order of rising 2θ:
Position (°2θ), d/Å, Rel. int., index
8.98, 9.843, 100, 0 0 3
16.65, 5.323, 25, 0 1 2
27.06, 3.295, 25, 1 1 0
28.57, 3.125, 88, 1 1 3
32.71, 2.738, 54, 1 1 6
33.67, 2.662, 32, 0 2 4
37.01, 2.429, 34, 0 1 11
39.93, 2.258, 36, 2 0 8
48.75, 1.868, 22, 0 3 3
51.50, 1.775, 24, 3 0 6
55.81, 1.647, 28, 2 2 0
61.49, 1.508, 17, 1 2 14



No. 2
# AcUTe2N
Theoretical XRD peak list, CuKα. Input: a structure optimized by DFT (GGA-PBE).

abc: 4.130 4.130 17.409
angles: 90.00 90.00 90.00
Space group P4/nmm (No. 129, origin choice 2)
Unique sites:
Ac1 0.250 0.250 0.153 x2
U1 0.250 0.250 0.560 x2
Te1 0.250 0.250 0.337 x2
Te2 0.250 0.250 0.924 x2
N1 0.250 0.750 0.500 x2

Principal peaks in the range 2θ = 5–70°, in order of rising 2θ:
Position (°2θ), d/Å, Rel. int., index
5.08, 17.409, 13, 0 0 1
10.16, 8.705, 14, 0 0 2
15.27, 5.803, 13, 0 0 3
20.41, 4.352, 14, 0 0 4
22.12, 4.019, 15, 1 0 1
23.85, 3.731, 13, 1 0 2
26.49, 3.365, 32, 1 0 3
30.61, 2.920, 74, 1 1 0
33.67, 2.662, 100, 1 0 5
37.07, 2.425, 15, 1 1 4
43.84, 2.065, 30, 2 0 0
56.39, 1.632, 47, 2 1 5



No. 3
# PuPAu
Theoretical XRD peak list, CuKα. Input: a structure optimized by DFT (GGA-PBE).

abc: 11.130 4.179 5.374
angles: 90.00 90.14 90.00
Space group C2/m (No. 12)
Unique sites:
Pu1 0.141 0.000 0.250 x4
P1 0.188 0.000 0.750 x4
Au1 0.060 0.500 0.751 x4

Principal peaks in the range 2θ = 5–70°, in order of rising 2θ:
Position (°2θ), d/Å, Rel. int., index
28.21, 3.163, 100, 1 1 1
32.25, 2.776, 87, 3 1 0
33.35, 2.687, 70, 0 0 2
36.39, 2.469, 81, 3 1 -1
36.47, 2.464, 46, 3 1 1
43.30, 2.090, 34, 0 2 0
47.02, 1.932, 31, 3 1 -2
47.12, 1.929, 31, 3 1 2
52.16, 1.754, 25, 6 0 -1
55.73, 1.649, 33, 0 2 2
57.79, 1.596, 19, 4 2 -1
62.50, 1.486, 17, 7 1 0



No. 4
# Pm3Dy6Er2Mg
Theoretical XRD peak list, CuKα. Input: a structure optimized by DFT (GGA-PBE).

abc: 6.151 10.663 11.691
angles: 90.00 100.18 90.00
Space group C2/m (No. 12)
Unique sites:
Pm1 0.000 0.000 0.000 x2
Pm2 0.000 0.334 0.000 x4
Dy1 0.247 0.334 0.745 x8
Dy2 0.248 0.000 0.745 x4
Er1 0.000 0.166 0.500 x4
Mg1 0.000 0.500 0.500 x2

Principal peaks in the range 2θ = 5–70°, in order of rising 2θ:
Position (°2θ), d/Å, Rel. int., index
16.84, 5.264, 2, 1 1 0
30.85, 2.898, 100, 1 3 1
31.09, 2.877, 32, 0 0 4
35.85, 2.505, 67, 2 0 2
51.44, 1.776, 24, 0 6 0
51.75, 1.767, 23, 2 0 -6
61.17, 1.515, 10, 2 6 -2
61.30, 1.512, 23, 4 0 0
61.39, 1.510, 9, 3 3 3
61.61, 1.505, 14, 1 3 -7
64.28, 1.449, 12, 4 0 -4
64.82, 1.438, 4, 0 0 8



No. 5
# Pr3Zn9Si2
Theoretical XRD peak list, CuKα. Input: a structure optimized by DFT (GGA-PBE).

abc: 4.371 9.790 12.533
angles: 90.00 90.00 90.00
Space group Immm (No. 71)
Unique sites:
Pr1 0.000 0.000 0.000 x2
Pr2 0.000 0.000 0.315 x4
Zn1 0.000 0.273 0.136 x8
Zn2 0.000 0.369 0.336 x8
Zn3 0.000 0.500 0.000 x2
Si1 0.000 0.222 0.500 x4

Principal peaks in the range 2θ = 5–70°, in order of rising 2θ:
Position (°2θ), d/Å, Rel. int., index
29.58, 3.020, 26, 1 0 3
33.97, 2.639, 14, 0 2 4
34.29, 2.615, 35, 1 3 0
34.90, 2.571, 100, 1 2 3
41.31, 2.186, 30, 2 0 0
42.96, 2.105, 11, 1 4 1
43.31, 2.089, 16, 0 0 6
55.15, 1.665, 10, 2 3 3
56.39, 1.632, 16, 1 3 6
61.39, 1.510, 11, 2 0 6
64.96, 1.436, 13, 1 6 3
68.11, 1.377, 10, 2 5 3



No. 6
# V6FeN
Theoretical XRD peak list, CuKα. Input: a structure optimized by DFT (GGA-PBE).

abc: 4.351 4.877 4.963
angles: 96.30 111.73 90.99
Space group P-1 (No. 2)
Unique sites:
V1 0.067 0.287 0.151 x2
V2 0.206 0.848 0.437 x2
V3 0.418 0.400 0.750 x2
Fe1 0.500 0.000 0.000 x1
N1 0.000 0.500 0.500 x1

Principal peaks in the range 2θ = 5–70°, in order of rising 2θ:
Position (°2θ), d/Å, Rel. int., index
34.72, 2.583, 3, 1 0 1
37.61, 2.392, 4, 1 -1 1
41.41, 2.181, 49, 1 1 1
41.51, 2.175, 45, 0 1 -2
41.62, 2.170, 46, 2 0 -1
42.34, 2.135, 41, 1 -2 0
43.41, 2.085, 100, -1 1 2
44.94, 2.017, 4, 2 0 0
48.63, 1.872, 3, 1 -2 1
57.83, 1.595, 14, 2 -1 1
62.60, 1.484, 15, 2 1 -3
63.52, 1.465, 14, 0 3 1



No. 7
# Y5Ho8Er
Theoretical XRD peak list, CuKα. Input: a structure optimized by DFT (GGA-PBE).

abc: 9.549 9.549 10.032
angles: 90.00 90.00 90.00
Space group I-4 (No. 82)
Unique sites:
Y1 0.000 0.000 0.000 x2
Y2 0.112 0.210 0.423 x8
Ho1 0.070 0.326 0.094 x8
Ho2 0.091 0.174 0.752 x8
Er1 0.000 0.500 0.750 x2

Principal peaks in the range 2θ = 5–70°, in order of rising 2θ:
Position (°2θ), d/Å, Rel. int., index
22.63, 3.929, 39, 2 1 1
28.28, 3.156, 84, 1 0 3
29.44, 3.034, 79, 3 0 1
29.58, 3.020, 86, 3 1 0
31.95, 2.801, 26, 2 2 2
34.05, 2.633, 100, 1 2 3
34.67, 2.587, 75, 3 1 2
35.04, 2.561, 72, 2 3 1
46.21, 1.965, 23, 2 4 2
47.10, 1.929, 22, 3 1 4
48.54, 1.875, 26, 3 4 1
56.61, 1.626, 25, 2 4 4



No. 8
# CsPuTiSe4
Theoretical XRD peak list, CuKα. Input: a structure optimized by DFT (GGA-PBE).

abc: 6.933 7.037 9.958
angles: 90.00 108.82 90.00
Space group P2_1/m (No. 11)
Unique sites:
Cs1 0.237 0.250 0.442 x2
Pu1 0.282 0.250 0.954 x2
Ti1 0.274 0.750 0.161 x2
Se1 0.057 0.750 0.925 x2
Se2 0.068 0.750 0.313 x2
Se3 0.486 0.509 0.803 x4

Principal peaks in the range 2θ = 5–70°, in order of rising 2θ:
Position (°2θ), d/Å, Rel. int., index
9.38, 9.426, 100, 0 0 1
18.49, 4.799, 56, 1 1 0
25.31, 3.518, 38, 0 2 0
27.67, 3.224, 33, 2 0 -2
28.77, 3.103, 31, 1 2 0
29.53, 3.025, 61, 1 1 2
30.50, 2.931, 43, 2 1 -2
31.74, 2.819, 38, 0 2 2
32.04, 2.793, 33, 1 2 -2
37.48, 2.399, 36, 2 2 0
40.34, 2.236, 23, 0 1 4
43.31, 2.089, 22, 3 1 0



No. 9
# LiNd2Tl3
Theoretical XRD peak list, CuKα. Input: a structure optimized by DFT (GGA-PBE).

abc: 7.462 10.024 17.380
angles: 90.00 90.00 90.00
Space group Fmmm (No. 69)
Unique sites:
Li1 0.000 0.000 0.168 x8
Nd1 0.246 0.000 0.500 x8
Nd2 0.250 0.250 0.250 x8
Tl1 0.000 0.000 0.325 x8
Tl2 0.000 0.237 0.088 x16

Principal peaks in the range 2θ = 5–70°, in order of rising 2θ:
Position (°2θ), d/Å, Rel. int., index
17.70, 5.012, 7, 0 2 0
21.34, 4.163, 17, 1 1 3
23.85, 3.731, 9, 2 0 0
29.73, 3.005, 14, 1 3 1
31.62, 2.830, 100, 2 0 4
35.81, 2.507, 79, 0 2 6
43.49, 2.081, 11, 2 2 6
48.51, 1.877, 29, 2 4 4
48.82, 1.865, 12, 4 0 0
61.74, 1.502, 28, 2 2 10
62.01, 1.497, 33, 4 2 6
64.36, 1.448, 13, 0 0 12



No. 10
# AcTbIrI
Theoretical XRD peak list, CuKα. Input: a structure optimized by DFT (GGA-PBE).

abc: 4.2575 4.2575 24.9164
angles: 90.00 90.00 120.00
Space group R3m (No. 160, hexagonal axes)
Unique sites:
Ac1 0.0000 0.0000 0.0000 x3
Tb1 0.0000 0.0000 0.2127 x3
Ir1 0.0000 0.0000 0.6011 x3
I1 0.0000 0.0000 0.7826 x3

Principal peaks in the range 2θ = 5–70°, in order of rising 2θ:
Position (°2θ), d/Å, Rel. int., index
10.65, 8.305, 40, 0 0 3
24.40, 3.647, 9, 1 0 1
25.19, 3.536, 15, 0 1 2
28.12, 3.173, 18, 1 0 4
30.15, 2.964, 100, 0 1 5
37.81, 2.379, 12, 0 1 8
42.46, 2.129, 44, 1 1 0
43.87, 2.064, 36, 1 0 10
52.96, 1.729, 21, 2 0 5
53.91, 1.701, 8, 1 0 13
54.36, 1.688, 9, 1 1 9
62.69, 1.482, 10, 0 2 10



No. 11
# AcBeAu3
Theoretical XRD peak list, CuKα. Input: a structure optimized by DFT (GGA-PBE).

abc: 6.6418 6.6418 5.5065
angles: 90.00 90.00 120.00
Space group P6_3/mmc (No. 194)
Unique sites:
Ac1 0.3333 0.6667 0.2500 x2
Be1 0.0000 0.0000 0.0000 x2
Au1 0.1774 0.3549 0.7500 x6

Principal peaks in the range 2θ = 5–70°, in order of rising 2θ:
Position (°2θ), d/Å, Rel. int., index
15.40, 5.752, 2, 1 0 0
31.10, 2.876, 22, 2 0 0
32.52, 2.753, 28, 0 0 2
35.21, 2.549, 100, 2 0 1
45.61, 1.989, 17, 2 0 2
50.40, 1.811, 2, 3 0 1
55.33, 1.660, 18, 2 2 0
59.77, 1.547, 22, 2 0 3
64.84, 1.438, 3, 4 0 0
65.66, 1.422, 21, 2 2 2
67.30, 1.391, 15, 4 0 1
68.11, 1.377, 4, 0 0 4



No. 12
# Zn3Co5
Theoretical XRD peak list, CuKα. Input: a structure optimized by DFT (GGA-PBE).

abc: 7.191 7.291 3.618
angles: 90.00 90.00 90.00
Space group Cmmm (No. 65)
Unique sites:
Zn1 0.000 0.000 0.000 x2
Zn2 0.000 0.253 0.500 x4
Co1 0.000 0.500 0.000 x2
Co2 0.243 0.500 0.500 x4
Co3 0.250 0.250 0.000 x4

Principal peaks in the range 2θ = 5–70°, in order of rising 2θ:
Position (°2θ), d/Å, Rel. int., index
43.30, 2.090, 100, 2 2 1
50.04, 1.823, 16, 0 4 0
50.46, 1.809, 16, 0 0 2
50.79, 1.798, 15, 4 0 0



No. 13
# TaCd4
Theoretical XRD peak list, CuKα. Input: a structure optimized by DFT (GGA-PBE).

abc: 6.912 6.912 4.388
angles: 90.00 90.00 90.00
Space group I4/m (No. 87)
Unique sites:
Ta1 0.000 0.000 0.000 x2
Cd1 0.102 0.296 0.500 x8

Principal peaks in the range 2θ = 5–70°, in order of rising 2θ:
Position (°2θ), d/Å, Rel. int., index
18.15, 4.887, 3, 1 1 0
24.02, 3.704, 2, 1 0 1
25.78, 3.456, 1, 2 0 0
35.53, 2.527, 100, 2 1 1
36.78, 2.444, 1, 2 2 0
41.15, 2.194, 16, 0 0 2
41.31, 2.186, 32, 1 3 0
44.41, 2.040, 1, 3 0 1
45.31, 2.001, 1, 1 1 2
52.06, 1.757, 1, 3 2 1
59.72, 1.548, 21, 1 3 2
59.84, 1.545, 11, 4 2 0



No. 14
# Sm3ScSb4
Theoretical XRD peak list, CuKα. Input: a structure optimized by DFT (GGA-PBE).

abc: 8.795 12.447 4.406
angles: 90.00 90.00 90.00
Space group Cmmm (No. 65)
Unique sites:
Sm1 0.000 0.000 0.000 x2
Sm2 0.250 0.250 0.500 x4
Sc1 0.000 0.500 0.000 x2
Sb1 0.000 0.257 0.000 x4
Sb2 0.237 0.500 0.500 x4

Principal peaks in the range 2θ = 5–70°, in order of rising 2θ:
Position (°2θ), d/Å, Rel. int., index
12.32, 7.183, 2, 1 1 0
14.23, 6.224, 2, 0 2 0
20.17, 4.402, 2, 0 0 1
23.70, 3.755, 4, 1 3 0
28.68, 3.112, 100, 2 0 1
31.32, 2.856, 4, 1 3 1
41.01, 2.201, 75, 0 0 2
50.81, 1.797, 27, 0 4 2
56.81, 1.621, 2, 3 3 2
59.39, 1.556, 12, 4 0 2
67.25, 1.392, 28, 2 0 3
67.32, 1.391, 5, 6 0 1